# Zr3Cd2Ag4
Computed powder diffractogram, Cu Kα (weighted mean of Kα1 and Kα2). Input: DFT lattice parameters and positions (PBE).

Main lines, low angle first (10 to 90 degrees two-theta):
two_theta, d/Å, I/Imax
31.20, 2.867, 9
36.85, 2.439, 100
37.93, 2.372, 77
49.04, 1.858, 15
53.92, 1.701, 27
66.34, 1.409, 11
67.07, 1.395, 18
67.15, 1.394, 9
77.19, 1.236, 21
78.47, 1.219, 7

Atomic structure:
Unit cell a=8.4545 b=8.4545 c=5.7335 alpha=90.00 beta=90.00 gamma=120.12
Fractional coordinates of all 18 atoms:
Zr  0.0000  0.0000  0.2500
Zr  0.0000  0.0000  0.7500
Zr  0.3385  0.6615  0.2500
Zr  0.3385  0.6615  0.7500
Zr  0.6615  0.3385  0.2500
Zr  0.6615  0.3385  0.7500
Cd  0.0024  0.6691  0.0000
Cd  0.3309  0.9976  0.5000
Cd  0.6691  0.0024  0.5000
Cd  0.9976  0.3309  0.0000
Ag  0.0004  0.3350  0.5000
Ag  0.9996  0.6650  0.5000
Ag  0.3318  0.3327  0.5000
Ag  0.3327  0.3318  0.0000
Ag  0.3350  0.0004  0.0000
Ag  0.6650  0.9996  0.0000
Ag  0.6673  0.6682  0.0000
Ag  0.6682  0.6673  0.5000